This entry pairs a crystal structure of TcSnO4 with its calculated powder XRD pattern. Radiation: Cu Kα (λ = 1.5418 Å). Structure: DFT lattice parameters and positions (PBE).

Largest 12 diffraction maxima, in order of falling intensity, 2θ from 15° to 90°:
2θ/deg, d_spacing, I/Imax, hkl
29.8, 2.998, 100, 1 1 1
24.4, 3.641, 40, 0 1 1
53.2, 1.721, 30, 1 2 2
35.5, 2.531, 28, 1 0 2
52.1, 1.755, 20, 2 2 0
33.9, 2.642, 18, 2 0 0
63.0, 1.475, 17, 2 1 3
58.2, 1.586, 16, 3 1 1
42.3, 2.138, 16, 2 1 1
51.4, 1.779, 16, 0 1 3
64.1, 1.453, 12, 1 3 1
61.7, 1.503, 12, 3 0 2

Structural model:
Cell lengths 5.2842, 4.6968, 5.7655 Å; angles 90.00, 90.00, 90.00 degrees
Space group Pnc2 (No. 30)
Unique sites:
Tc 0.0000 0.0000 0.0000 [2 per cell]
Sn 0.5000 0.0000 0.3166 [2 per cell]
O 0.1656 0.2365 0.2598 [4 per cell]
O 0.3241 0.7233 0.5407 [4 per cell]

***

This entry pairs a crystal structure of Tc2SnO8 with its calculated powder XRD pattern. Radiation: Cu Kα (λ = 1.5418 Å). Structure: DFT lattice parameters and positions (PBE).

Largest 12 diffraction maxima, in order of falling intensity, 2θ from 15° to 90°:
2θ/deg, d_spacing, I/Imax, hkl
25.3, 3.524, 100, 1 1 0
15.4, 5.754, 43, 0 0 3
44.5, 2.036, 29, 2 1 4
17.8, 4.983, 17, 0 1 2
58.6, 1.576, 15, 1 2 8
39.4, 2.288, 15, 2 1 1
70.7, 1.333, 11, 4 1 0
51.8, 1.764, 10, 2 2 0
52.0, 1.760, 10, 2 0 8
44.6, 2.030, 9, 0 1 8
36.0, 2.492, 8, 0 2 4
29.7, 3.005, 7, 1 1 3

Structural model:
Cell lengths 7.0561, 7.0561, 17.2197 Å; angles 90.00, 90.00, 120.00 degrees
Space group R-3m (No. 166, hexagonal axes)
Unique sites:
Tc 0.0000 0.0000 0.2502 [6 per cell]
Sn 0.0000 0.0000 0.0000 [3 per cell]
O 0.0000 0.0000 0.1491 [6 per cell]
O 0.0648 0.5324 0.3827 [18 per cell]

***

This entry pairs a crystal structure of SnTe3O8 with its calculated powder XRD pattern. Radiation: Cu Kα (λ = 1.5418 Å). Structure: DFT lattice parameters and positions (PBE).

Largest 12 diffraction maxima, in order of falling intensity, 2θ from 15° to 90°:
2θ/deg, d_spacing, I/Imax, hkl
27.0, 3.301, 100, 2 2 2
19.0, 4.668, 34, 2 1 1
31.3, 2.859, 32, 4 0 0
44.8, 2.021, 28, 4 4 0
53.1, 1.724, 23, 6 2 2
29.2, 3.056, 23, 3 2 1
33.2, 2.695, 15, 4 1 1
86.9, 1.121, 13, 8 6 2
40.2, 2.243, 12, 4 1 3
60.6, 1.528, 12, 6 2 4
67.5, 1.387, 10, 8 0 2
51.8, 1.764, 10, 5 1 4

Structural model:
Cell lengths 11.4353, 11.4353, 11.4353 Å; angles 90.00, 90.00, 90.00 degrees
Space group Ia-3 (No. 206)
Unique sites:
Sn 0.0000 0.0000 0.0000 [8 per cell]
Te 0.0000 0.2500 0.1986 [24 per cell]
O 0.0694 0.1408 0.5929 [48 per cell]
O 0.1650 0.1650 0.1650 [16 per cell]

***

This entry pairs a crystal structure of TlSnTeO6 with its calculated powder XRD pattern. Radiation: Cu Kα (λ = 1.5418 Å). Structure: DFT lattice parameters and positions (PBE).

Largest 12 diffraction maxima, in order of falling intensity, 2θ from 15° to 90°:
2θ/deg, d_spacing, I/Imax, hkl
25.5, 3.496, 100, 1 0 1
48.3, 1.883, 40, 2 -1 2
33.0, 2.715, 39, 1 1 0
42.1, 2.144, 25, 2 0 1
54.5, 1.683, 25, 3 -1 1
58.9, 1.567, 12, 3 0 0
56.3, 1.634, 11, 1 0 3
75.1, 1.265, 10, 3 1 1
76.6, 1.244, 9, 2 1 3
34.3, 2.613, 9, 0 0 2
70.0, 1.344, 9, 3 0 2
79.6, 1.205, 9, 2 2 2

Structural model:
Cell lengths 5.4294, 5.4294, 5.2263 Å; angles 90.00, 90.00, 120.00 degrees
Space group P312 (No. 149)
Unique sites:
Tl 0.0000 0.0000 0.0000 [1 per cell]
Sn 0.3333 0.6667 0.5000 [1 per cell]
Te 0.6667 0.3333 0.5000 [1 per cell]
O 0.3815 0.0174 0.7112 [6 per cell]

***

This entry pairs a crystal structure of Ti3Sn2O10 with its calculated powder XRD pattern. Radiation: Cu Kα (λ = 1.5418 Å). Structure: DFT lattice parameters and positions (PBE).

Largest 12 diffraction maxima, in order of falling intensity, 2θ from 15° to 90°:
2θ/deg, d_spacing, I/Imax, hkl
26.7, 3.339, 100, 0 2 0
34.7, 2.584, 65, 1 1 5
52.5, 1.743, 64, 1 3 5
66.7, 1.402, 21, 3 3 5
55.0, 1.670, 19, 4 0 0
38.1, 2.361, 16, 2 2 0
62.2, 1.493, 14, 4 2 0
66.8, 1.401, 14, 0 2 10
39.8, 2.267, 11, 2 0 5
79.5, 1.206, 10, 1 5 5
85.7, 1.133, 9, 4 0 10
25.6, 3.479, 9, 1 1 3

Structural model:
Cell lengths 6.6755, 6.6818, 15.4376 Å; angles 90.00, 90.00, 90.00 degrees
Space group Cmm2 (No. 35)
Unique sites:
Ti 0.0000 0.0000 0.0000 [2 per cell]
Ti 0.0000 0.0000 0.1913 [2 per cell]
Ti 0.0000 0.0000 0.3908 [2 per cell]
Ti 0.0000 0.0000 0.5901 [2 per cell]
Ti 0.0000 0.5000 0.0901 [2 per cell]
Ti 0.0000 0.5000 0.6875 [2 per cell]
Sn 0.0000 0.0000 0.7898 [2 per cell]
Sn 0.0000 0.5000 0.2875 [2 per cell]
Sn 0.0000 0.5000 0.4910 [2 per cell]
Sn 0.0000 0.5000 0.8933 [2 per cell]
O 0.0000 0.1865 0.2890 [4 per cell]
O 0.0000 0.1866 0.4891 [4 per cell]
O 0.0000 0.1907 0.8969 [4 per cell]
O 0.0000 0.1933 0.0921 [4 per cell]
O 0.0000 0.1989 0.6836 [4 per cell]
O 0.1903 0.5000 0.7858 [4 per cell]
O 0.1986 0.5000 0.9987 [4 per cell]
O 0.2002 0.5000 0.1850 [4 per cell]
O 0.1999 0.5000 0.5939 [4 per cell]
O 0.2034 0.5000 0.3893 [4 per cell]

***

This entry pairs a crystal structure of Ti2Sn3O10 with its calculated powder XRD pattern. Radiation: Cu Kα (λ = 1.5418 Å). Structure: DFT lattice parameters and positions (PBE).

Largest 12 diffraction maxima, in order of falling intensity, 2θ from 15° to 90°:
2θ/deg, d_spacing, I/Imax, hkl
26.5, 3.364, 100, 0 2 0
34.2, 2.623, 72, 1 1 5
51.9, 1.762, 67, 1 3 5
66.0, 1.416, 21, 3 3 5
37.8, 2.378, 19, 2 2 0
54.6, 1.682, 17, 4 0 0
65.6, 1.424, 15, 0 2 10
61.7, 1.504, 14, 4 2 0
78.6, 1.217, 12, 1 5 5
84.3, 1.148, 9, 4 0 10
58.7, 1.572, 8, 0 0 10
39.2, 2.296, 8, 2 0 5

Structural model:
Cell lengths 6.7225, 6.7316, 15.7192 Å; angles 90.00, 90.00, 90.00 degrees
Space group Cmm2 (No. 35)
Unique sites:
Ti 0.0000 0.0000 0.0000 [2 per cell]
Ti 0.0000 0.0000 0.1935 [2 per cell]
Ti 0.0000 0.0000 0.5914 [2 per cell]
Ti 0.0000 0.5000 0.4991 [2 per cell]
Sn 0.0000 0.0000 0.3972 [2 per cell]
Sn 0.0000 0.0000 0.7959 [2 per cell]
Sn 0.0000 0.5000 0.0976 [2 per cell]
Sn 0.0000 0.5000 0.2970 [2 per cell]
Sn 0.0000 0.5000 0.6915 [2 per cell]
Sn 0.0000 0.5000 0.8984 [2 per cell]
O 0.0000 0.1857 0.0971 [4 per cell]
O 0.0000 0.1903 0.2920 [4 per cell]
O 0.0000 0.1900 0.6897 [4 per cell]
O 0.0000 0.1899 0.9021 [4 per cell]
O 0.0000 0.1983 0.5011 [4 per cell]
O 0.1906 0.5000 0.4015 [4 per cell]
O 0.1938 0.5000 0.7952 [4 per cell]
O 0.1987 0.5000 0.5889 [4 per cell]
O 0.2032 0.5000 0.1962 [4 per cell]
O 0.2032 0.5000 0.9986 [4 per cell]

***

This entry pairs a crystal structure of Ti9SnO20 with its calculated powder XRD pattern. Radiation: Cu Kα (λ = 1.5418 Å). Structure: DFT lattice parameters and positions (PBE).

Largest 12 diffraction maxima, in order of falling intensity, 2θ from 15° to 90°:
2θ/deg, d_spacing, I/Imax, hkl
26.8, 3.327, 100, 2 0 -2
27.1, 3.293, 98, 0 2 0
53.5, 1.712, 58, 5 3 0
35.6, 2.523, 51, 5 1 0
35.5, 2.531, 50, 3 1 2
53.3, 1.719, 30, 7 1 -2
53.1, 1.725, 28, 1 1 4
40.7, 2.219, 24, 4 2 1
67.8, 1.383, 21, 7 3 -2
67.6, 1.386, 20, 1 3 4
55.8, 1.647, 18, 0 4 0
38.5, 2.341, 18, 2 2 -2

Structural model:
Cell lengths 13.7029, 6.5868, 7.3122 Å; angles 90.00, 94.56, 90.00 degrees
Space group C2/m (No. 12)
Unique sites:
Ti 0.0000 0.0000 0.0000 [2 per cell]
Ti 0.0992 0.5000 0.5845 [4 per cell]
Ti 0.1023 0.5000 0.0828 [4 per cell]
Ti 0.2011 0.0000 0.7189 [4 per cell]
Ti 0.2025 0.0000 0.2125 [4 per cell]
Sn 0.0000 0.0000 0.5000 [2 per cell]
O 0.0000 0.3059 0.0000 [4 per cell]
O 0.0377 0.5000 0.3464 [4 per cell]
O 0.0623 0.0000 0.2491 [4 per cell]
O 0.1063 0.2010 0.6053 [8 per cell]
O 0.1381 0.0000 0.9427 [4 per cell]
O 0.1629 0.5000 0.8603 [4 per cell]
O 0.1988 0.3056 0.1991 [8 per cell]
O 0.2405 0.5000 0.5478 [4 per cell]

***

This entry pairs a crystal structure of Tm2Sn2O7 with its calculated powder XRD pattern. Radiation: Cu Kα (λ = 1.5418 Å). Structure: DFT lattice parameters and positions (PBE).

Largest 12 diffraction maxima, in order of falling intensity, 2θ from 15° to 90°:
2θ/deg, d_spacing, I/Imax, hkl
29.7, 3.006, 100, 2 2 2
49.5, 1.841, 48, 4 4 0
58.8, 1.570, 45, 6 2 2
34.4, 2.603, 34, 4 0 0
80.4, 1.195, 19, 6 6 2
82.9, 1.164, 15, 8 4 0
61.7, 1.503, 10, 4 4 4
72.6, 1.302, 7, 8 0 0
37.7, 2.389, 3, 3 3 1
45.2, 2.004, 1, 5 1 1
28.4, 3.140, 1, 3 1 1
51.9, 1.760, 1, 5 3 1

Structural model:
Cell lengths 10.4138, 10.4138, 10.4138 Å; angles 90.00, 90.00, 90.00 degrees
Space group Fd-3m (No. 227, origin choice 2)
Unique sites:
Tm 0.0000 0.0000 0.0000 [16 per cell]
Sn 0.0000 0.0000 0.5000 [16 per cell]
O 0.0914 0.3750 0.8750 [48 per cell]
O 0.1250 0.1250 0.1250 [8 per cell]

***

What did the seventh record say?
This entry pairs a crystal structure of Ti9SnO20 with its calculated powder XRD pattern. Radiation: Cu Kα (λ = 1.5418 Å). Structure: DFT lattice parameters and positions (PBE).

Largest 12 diffraction maxima, in order of falling intensity, 2θ from 15° to 90°:
2θ/deg, d_spacing, I/Imax, hkl
26.8, 3.327, 100, 2 0 -2
27.1, 3.293, 98, 0 2 0
53.5, 1.712, 58, 5 3 0
35.6, 2.523, 51, 5 1 0
35.5, 2.531, 50, 3 1 2
53.3, 1.719, 30, 7 1 -2
53.1, 1.725, 28, 1 1 4
40.7, 2.219, 24, 4 2 1
67.8, 1.383, 21, 7 3 -2
67.6, 1.386, 20, 1 3 4
55.8, 1.647, 18, 0 4 0
38.5, 2.341, 18, 2 2 -2

Structural model:
Cell lengths 13.7029, 6.5868, 7.3122 Å; angles 90.00, 94.56, 90.00 degrees
Space group C2/m (No. 12)
Unique sites:
Ti 0.0000 0.0000 0.0000 [2 per cell]
Ti 0.0992 0.5000 0.5845 [4 per cell]
Ti 0.1023 0.5000 0.0828 [4 per cell]
Ti 0.2011 0.0000 0.7189 [4 per cell]
Ti 0.2025 0.0000 0.2125 [4 per cell]
Sn 0.0000 0.0000 0.5000 [2 per cell]
O 0.0000 0.3059 0.0000 [4 per cell]
O 0.0377 0.5000 0.3464 [4 per cell]
O 0.0623 0.0000 0.2491 [4 per cell]
O 0.1063 0.2010 0.6053 [8 per cell]
O 0.1381 0.0000 0.9427 [4 per cell]
O 0.1629 0.5000 0.8603 [4 per cell]
O 0.1988 0.3056 0.1991 [8 per cell]
O 0.2405 0.5000 0.5478 [4 per cell]